For Sr5Co2N4, a DFT-relaxed cell (GGA-PBE, OQMD) gives the calculated powder XRD pattern in this record (CuKα).

Structural model:
Unit cell a=8.631 b=8.631 c=12.340 alpha=90.00 beta=90.00 gamma=90.00
Space group P4/ncc (No. 130, origin choice 2)
Symmetry-distinct sites (fractional):
Sr  0.074  0.634  0.100 (multiplicity 16)
Sr  0.250  0.250  0.156 (multiplicity 4)
Co  0.091  0.591  0.750 (multiplicity 8)
N  0.048  0.643  0.888 (multiplicity 16)

The 8 most intense peaks (2θ = 10–90°), in order of rising 2θ:
(hkl)	two_theta	I (rel.)
1 1 0	14.51	12
2 1 2	27.25	34
0 0 4	28.94	13
2 1 3	31.79	100
3 1 0	32.81	64
3 1 1	33.63	20
5 0 2	55.26	19
5 2 3	62.15	13